No. 1
# LaCe2Cd6
Computed powder diffractogram, Cu Kα. Input: a DFT-relaxed cell (GGA-PBE, Alexandria).

```
data_LaCe2Cd6
_cell_length_a 8.905
_cell_length_b 8.905
_cell_length_c 3.346
_cell_angle_alpha 90.00
_cell_angle_beta 90.00
_cell_angle_gamma 120.00
_space_group_name_H-M_alt 'P 1'
_space_group_IT_number 1
_space_group_name_Hall 'P 1'
loop_
_atom_site_label
_atom_site_fract_x
_atom_site_fract_y
_atom_site_fract_z
La1 0.000 0.000 0.000
Ce1 0.333 0.667 0.000
Ce2 0.667 0.333 0.000
Cd1 0.000 0.335 0.500
Cd2 0.000 0.665 0.500
Cd3 0.335 0.000 0.500
Cd4 0.335 0.335 0.500
Cd5 0.665 0.000 0.500
Cd6 0.665 0.665 0.500
```

Largest 10 diffraction maxima, low angle first, 10° ≤ 2θ ≤ 90°:
2θ/deg  d_spacing  intensity
33.5  2.675  100
34.9  2.571  95
49.2  1.853  33
54.9  1.673  8
61.7  1.503  33
62.6  1.484  17
66.7  1.402  27
73.7  1.285  10
83.4  1.159  14
88.0  1.110  13



No. 2
# Tb4AlZn2Rh
Computed powder diffractogram, Cu Kα. Input: a DFT-relaxed cell (GGA-PBE, Alexandria).

```
data_Tb4AlZn2Rh
_cell_length_a 8.668
_cell_length_b 8.668
_cell_length_c 8.668
_cell_angle_alpha 33.75
_cell_angle_beta 33.75
_cell_angle_gamma 33.75
_space_group_name_H-M_alt 'P 1'
_space_group_IT_number 1
_space_group_name_Hall 'P 1'
loop_
_atom_site_label
_atom_site_fract_x
_atom_site_fract_y
_atom_site_fract_z
Tb1 0.119 0.119 0.119
Tb2 0.371 0.371 0.371
Tb3 0.629 0.629 0.629
Tb4 0.881 0.881 0.881
Al1 0.500 0.500 0.500
Zn1 0.243 0.243 0.243
Zn2 0.757 0.757 0.757
Rh1 0.000 0.000 0.000
```

Largest 10 diffraction maxima, low angle first, 10° ≤ 2θ ≤ 90°:
2θ/deg  d_spacing  intensity
25.1  3.551  37
35.7  2.516  100
35.8  2.506  93
51.5  1.776  33
64.1  1.453  18
64.2  1.451  33
64.5  1.445  14
75.6  1.258  11
86.6  1.124  15
86.8  1.122  12



No. 3
# BaPm4S5
Computed powder diffractogram, Cu Kα. Input: a DFT-relaxed cell (GGA-PBE, Alexandria).

```
data_BaPm4S5
_cell_length_a 7.178
_cell_length_b 7.178
_cell_length_c 10.148
_cell_angle_alpha 118.38
_cell_angle_beta 118.38
_cell_angle_gamma 33.09
_space_group_name_H-M_alt 'P 1'
_space_group_IT_number 1
_space_group_name_Hall 'P 1'
loop_
_atom_site_label
_atom_site_fract_x
_atom_site_fract_y
_atom_site_fract_z
Ba1 0.000 0.000 0.000
Pm1 0.199 0.199 0.786
Pm2 0.405 0.405 0.599
Pm3 0.595 0.595 0.401
Pm4 0.801 0.801 0.214
S1 0.000 0.000 0.500
S2 0.204 0.204 0.316
S3 0.386 0.386 0.107
S4 0.614 0.614 0.893
S5 0.796 0.796 0.684
```

Largest 10 diffraction maxima, low angle first, 10° ≤ 2θ ≤ 90°:
2θ/deg  d_spacing  intensity
26.3  3.384  38
26.6  3.350  37
30.7  2.916  100
43.6  2.076  12
43.9  2.063  48
44.3  2.044  12
51.8  1.764  19
52.3  1.750  12
54.2  1.692  12
54.8  1.675  13



No. 4
# SrHg3Ge3
Computed powder diffractogram, Cu Kα. Input: a DFT-relaxed cell (GGA-PBE, Alexandria).

```
data_SrHg3Ge3
_cell_length_a 7.499
_cell_length_b 7.499
_cell_length_c 7.499
_cell_angle_alpha 90.00
_cell_angle_beta 90.00
_cell_angle_gamma 90.00
_space_group_name_H-M_alt 'P 1'
_space_group_IT_number 1
_space_group_name_Hall 'P 1'
loop_
_atom_site_label
_atom_site_fract_x
_atom_site_fract_y
_atom_site_fract_z
Sr1 0.000 0.000 0.000
Sr2 0.500 0.500 0.500
Hg1 0.000 0.250 0.500
Hg2 0.000 0.750 0.500
Hg3 0.250 0.500 0.000
Hg4 0.500 0.000 0.250
Hg5 0.500 0.000 0.750
Hg6 0.750 0.500 0.000
Ge1 0.000 0.500 0.250
Ge2 0.000 0.500 0.750
Ge3 0.250 0.000 0.500
Ge4 0.500 0.250 0.000
Ge5 0.500 0.750 0.000
Ge6 0.750 0.000 0.500
```

Largest 10 diffraction maxima, low angle first, 10° ≤ 2θ ≤ 90°:
2θ/deg  d_spacing  intensity
16.7  5.303  48
23.7  3.749  42
26.6  3.354  58
29.2  3.061  100
41.7  2.165  53
45.2  2.004  61
48.6  1.875  39
71.1  1.326  25
78.7  1.216  18
86.0  1.130  21



No. 5
# HfCrB
Computed powder diffractogram, Cu Kα. Input: a DFT-relaxed cell (GGA-PBE, Alexandria).

```
data_HfCrB
_cell_length_a 3.244
_cell_length_b 9.188
_cell_length_c 5.049
_cell_angle_alpha 90.00
_cell_angle_beta 90.00
_cell_angle_gamma 90.00
_space_group_name_H-M_alt 'P 1'
_space_group_IT_number 1
_space_group_name_Hall 'P 1'
loop_
_atom_site_label
_atom_site_fract_x
_atom_site_fract_y
_atom_site_fract_z
Hf1 0.000 0.197 0.250
Hf2 0.000 0.803 0.750
Hf3 0.500 0.303 0.750
Hf4 0.500 0.697 0.250
Cr1 0.000 0.500 0.000
Cr2 0.000 0.500 0.500
Cr3 0.500 0.000 0.000
Cr4 0.500 0.000 0.500
B1 0.000 0.092 0.750
B2 0.000 0.908 0.250
B3 0.500 0.408 0.250
B4 0.500 0.592 0.750
```

Largest 10 diffraction maxima, low angle first, 10° ≤ 2θ ≤ 90°:
2θ/deg  d_spacing  intensity
19.3  4.594  24
26.2  3.398  38
34.3  2.616  100
40.5  2.227  50
40.8  2.212  42
43.3  2.091  31
44.5  2.038  19
46.6  1.947  22
63.0  1.475  18
69.6  1.351  23



No. 6
# Er2Tm2Se3
Computed powder diffractogram, Cu Kα. Input: a DFT-relaxed cell (GGA-PBE, Alexandria).

```
data_Er2Tm2Se3
_cell_length_a 13.261
_cell_length_b 3.901
_cell_length_c 6.841
_cell_angle_alpha 90.00
_cell_angle_beta 100.76
_cell_angle_gamma 90.00
_space_group_name_H-M_alt 'P 1'
_space_group_IT_number 1
_space_group_name_Hall 'P 1'
loop_
_atom_site_label
_atom_site_fract_x
_atom_site_fract_y
_atom_site_fract_z
Er1 0.123 0.000 0.355
Er2 0.377 0.500 0.645
Er3 0.623 0.500 0.355
Er4 0.877 0.000 0.645
Tm1 0.115 0.500 0.889
Tm2 0.385 0.000 0.111
Tm3 0.615 0.000 0.889
Tm4 0.885 0.500 0.111
Se1 0.000 0.500 0.500
Se2 0.239 0.000 0.747
Se3 0.261 0.500 0.253
Se4 0.500 0.000 0.500
Se5 0.739 0.500 0.747
Se6 0.761 0.000 0.253
```

Largest 10 diffraction maxima, low angle first, 10° ≤ 2θ ≤ 90°:
2θ/deg  d_spacing  intensity
27.4  3.257  17
27.5  3.243  15
27.9  3.194  32
32.0  2.794  100
32.2  2.782  50
45.3  2.002  17
46.0  1.974  36
46.1  1.968  35
46.6  1.950  18
57.7  1.597  19



> Number 5 is which compound?

HfCrB